# CaLa3Ir
Simulated XRD peak list, Cu Kα. Input: the GGA-PBE geometry in Alexandria.

Cell and atoms:
Lattice parameters (Å, degrees): 5.7416 5.7416 5.7416 90.00 90.00 90.00
Space group Pm-3m (No. 221)
Asymmetric unit:
Ca1 0.0000 0.0000 0.0000 (multiplicity 1)
La1 0.0000 0.5000 0.5000 (multiplicity 3)
Ir1 0.5000 0.5000 0.5000 (multiplicity 1)

Peak list (8 most intense, 2θ from 10° to 80°, in order of rising 2θ)
2theta	I/Imax	index
15.43	100	1 0 0
26.90	33	1 1 1
31.15	97	2 0 0
34.94	56	2 1 0
44.64	72	2 2 0
47.51	30	3 0 0
55.44	25	2 2 2
73.81	32	4 2 0